Starting from DFT lattice parameters and positions (PBE), the powder diffraction line list of KAu2 was simulated for a wavelength of 1.5418 Å.
Kinematic intensities with the Lorentz-polarization factor, no thermal factor.

Structural model:
a b c (Å): 5.763 5.763 9.985
angles (deg): 90.00 90.00 120.00
Positions (direct):
K: 0.333 0.667 0.061
K: 0.333 0.667 0.439
K: 0.667 0.333 0.561
K: 0.667 0.333 0.939
Au: 0.000 0.000 0.000
Au: 0.000 0.000 0.500
Au: 0.167 0.334 0.750
Au: 0.167 0.833 0.750
Au: 0.334 0.167 0.250
Au: 0.666 0.833 0.750
Au: 0.833 0.167 0.250
Au: 0.833 0.666 0.250

Largest 8 diffraction maxima, in order of falling intensity, 10° ≤ 2θ ≤ 90°:
36.0 deg, intensity 100, (0 0 4); 17.8 deg, intensity 86, (0 0 2); 37.1 deg, intensity 84, (2 0 1); 40.4 deg, intensity 69, (2 0 2); 45.4 deg, intensity 34, (2 0 3); 64.7 deg, intensity 29, (2 2 0); 76.3 deg, intensity 28, (2 2 4); 19.9 deg, intensity 28, (1 0 1)